Structure and computed XRD peak list of K3MnOs2O8 (a DFT-relaxed cell (PBE+U, Alexandria); Cu Ka).
No peak broadening, texture or thermal motion is included.

Peak list (10 most intense, 2θ from 15° to 90°, by intensity)
2theta, intensity, index
20.9, 100, 1 0 1
30.3, 74, 1 1 0
29.0, 50, 0 1 2
42.4, 28, 2 0 2
39.1, 22, 1 0 3
48.7, 22, 2 1 1
53.1, 18, 1 2 2
17.4, 16, 1 0 0
23.0, 14, 0 0 2
53.9, 14, 3 0 0

Atomic structure:
a = 5.8918 Å, b = 5.8918 Å, c = 7.7359 Å
α = 90.00°, β = 90.00°, γ = 120.00°
Sites, in units of the cell vectors:
1 K 0.0000 0.0000 0.0000
2 K 0.3333 0.6667 0.6523
3 K 0.6667 0.3333 0.3477
4 Mn 0.0000 0.0000 0.5000
5 Os 0.3333 0.6667 0.2198
6 Os 0.6667 0.3333 0.7802
7 O 0.1701 0.3401 0.3277
8 O 0.1701 0.8299 0.3277
9 O 0.3333 0.6667 0.9897
10 O 0.3401 0.1701 0.6723
11 O 0.6599 0.8299 0.3277
12 O 0.6667 0.3333 0.0103
13 O 0.8299 0.1701 0.6723
14 O 0.8299 0.6599 0.6723